Diffraction record for Hg8PtI6. The X-ray diffraction stick pattern is theoretical, not measured: it uses a GGA-PBE-relaxed structure and Cu Kα (weighted mean of Kα1 and Kα2).

Structure:
```
Hg8PtI6
1.0
8.132 0.000 0.000
-2.794 7.869 0.000
-0.151 -0.385 9.078
Hg Pt I
8 1 6
direct
0.002 0.162 0.001
0.028 0.638 0.277
0.284 0.688 0.859
0.295 0.475 0.141
0.705 0.525 0.859
0.716 0.312 0.141
0.972 0.362 0.723
0.998 0.838 0.999
0.000 0.500 0.000
0.083 0.787 0.553
0.387 0.164 0.249
0.390 0.285 0.750
0.610 0.715 0.250
0.613 0.836 0.751
0.917 0.213 0.447
```

Most intense lines, 10° ≤ 2θ ≤ 90°, by intensity:
11.25 deg, rel. 100.0
11.55 deg, rel. 84.9
38.50 deg, rel. 80.7
24.13 deg, rel. 64.7
35.60 deg, rel. 55.8
35.16 deg, rel. 55.1

Diffraction record for KScIn2. The X-ray diffraction stick pattern is theoretical, not measured: it uses a GGA-PBE-relaxed structure and Cu Kα (weighted mean of Kα1 and Kα2).

Structure:
```
KScIn2
1.0
3.467 0.000 0.000
0.000 3.467 0.000
0.000 0.000 10.136
K Sc In
1 1 2
direct
0.000 0.000 0.000
0.500 0.500 0.334
0.000 0.000 0.515
0.500 0.500 0.724
```

Most intense lines, 10° ≤ 2θ ≤ 90°, by intensity:
31.26 deg, rel. 100.0
36.66 deg, rel. 39.1
37.16 deg, rel. 35.6
62.67 deg, rel. 24.8
37.76 deg, rel. 15.3
51.90 deg, rel. 13.1

Diffraction record for SrPr5Tl3. The X-ray diffraction stick pattern is theoretical, not measured: it uses a GGA-PBE-relaxed structure and Cu Kα (weighted mean of Kα1 and Kα2).

Structure:
```
SrPr5Tl3
1.0
9.761 0.000 0.000
-4.880 8.453 0.000
0.000 0.000 7.104
Sr Pr Tl
2 10 6
direct
0.000 0.000 0.000
0.000 0.000 0.500
0.000 0.340 0.250
0.000 0.660 0.750
0.333 0.667 0.000
0.333 0.667 0.500
0.340 0.000 0.250
0.340 0.340 0.750
0.660 0.000 0.750
0.660 0.660 0.250
0.667 0.333 0.000
0.667 0.333 0.500
0.000 0.329 0.750
0.000 0.671 0.250
0.329 0.000 0.750
0.329 0.329 0.250
0.671 0.000 0.250
0.671 0.671 0.750
```

Most intense lines, 10° ≤ 2θ ≤ 90°, by intensity:
31.76 deg, rel. 100.0
31.14 deg, rel. 84.8
56.19 deg, rel. 31.9
45.07 deg, rel. 30.6
61.74 deg, rel. 30.2
40.88 deg, rel. 22.0

Diffraction record for Rb2UPt3S6. The X-ray diffraction stick pattern is theoretical, not measured: it uses a GGA-PBE-relaxed structure and Cu Kα (weighted mean of Kα1 and Kα2).

Structure:
```
Rb2UPt3S6
1.0
0.000 7.492 8.504
4.904 0.000 8.504
4.904 7.492 0.000
Rb U Pt S
4 2 6 12
direct
0.174 0.826 0.174
0.250 0.250 0.250
0.750 0.750 0.750
0.826 0.174 0.826
0.333 0.333 0.667
0.667 0.667 0.333
0.002 0.673 0.998
0.327 0.998 0.673
0.329 0.671 0.671
0.671 0.329 0.329
0.673 0.002 0.327
0.998 0.327 0.002
0.096 0.310 0.690
0.100 0.698 0.685
0.302 0.900 0.482
0.310 0.096 0.904
0.315 0.482 0.900
0.482 0.315 0.302
0.518 0.685 0.698
0.685 0.518 0.100
0.690 0.904 0.096
0.698 0.100 0.518
0.900 0.302 0.315
0.904 0.690 0.310
```

Most intense lines, 10° ≤ 2θ ≤ 90°, by intensity:
11.81 deg, rel. 100.0
32.17 deg, rel. 45.3
36.47 deg, rel. 31.3
43.99 deg, rel. 29.3
33.81 deg, rel. 22.4
24.08 deg, rel. 21.3

Diffraction record for PrSm14In. The X-ray diffraction stick pattern is theoretical, not measured: it uses a GGA-PBE-relaxed structure and Cu Kα (weighted mean of Kα1 and Kα2).

Structure:
```
PrSm14In
1.0
10.189 0.000 0.000
0.000 5.087 5.087
0.000 -5.087 5.087
Pr Sm In
1 14 1
direct
0.000 0.000 0.000
0.000 0.500 0.999
0.000 0.999 0.500
0.246 0.252 0.252
0.247 0.252 0.747
0.247 0.747 0.252
0.247 0.747 0.747
0.500 0.000 0.000
0.500 0.000 0.500
0.500 0.500 0.000
0.500 0.500 0.500
0.753 0.252 0.747
0.753 0.747 0.252
0.753 0.747 0.747
0.754 0.252 0.252
0.000 0.500 0.500
```

Most intense lines, 10° ≤ 2θ ≤ 90°, by intensity:
30.42 deg, rel. 100.0
35.27 deg, rel. 50.6
60.32 deg, rel. 42.6
50.74 deg, rel. 36.0
82.64 deg, rel. 17.4
63.30 deg, rel. 12.3

Diffraction record for AsAu2. The X-ray diffraction stick pattern is theoretical, not measured: it uses a GGA-PBE-relaxed structure and Cu Kα (weighted mean of Kα1 and Kα2).

Structure:
```
AsAu2
1.0
3.812 0.000 0.000
-1.906 3.302 0.000
0.000 0.000 4.826
As Au
1 2
direct
0.000 0.000 0.000
0.333 0.667 0.319
0.667 0.333 0.681
```

Most intense lines, 10° ≤ 2θ ≤ 90°, by intensity:
32.87 deg, rel. 100.0
46.62 deg, rel. 34.6
47.71 deg, rel. 32.7
59.15 deg, rel. 18.9
79.30 deg, rel. 16.7
77.67 deg, rel. 15.0

Diffraction record for Pm3FeI3. The X-ray diffraction stick pattern is theoretical, not measured: it uses a GGA-PBE-relaxed structure and Cu Kα (weighted mean of Kα1 and Kα2).

Structure:
```
Pm3FeI3
1.0
-6.121 6.121 6.121
6.121 -6.121 6.121
6.121 6.121 -6.121
Pm Fe I
12 4 12
direct
0.024 0.047 0.274
0.024 0.476 0.750
0.047 0.274 0.024
0.226 0.274 0.750
0.226 0.453 0.476
0.274 0.024 0.047
0.274 0.750 0.226
0.453 0.476 0.226
0.476 0.226 0.453
0.476 0.750 0.024
0.750 0.024 0.476
0.750 0.226 0.274
0.000 0.250 0.500
0.250 0.250 0.250
0.250 0.500 0.000
0.500 0.000 0.250
0.250 0.759 0.741
0.250 0.991 0.509
0.509 0.250 0.991
0.509 0.759 0.519
0.519 0.509 0.759
0.741 0.250 0.759
0.741 0.991 0.981
0.759 0.519 0.509
0.759 0.741 0.250
0.981 0.741 0.991
0.991 0.509 0.250
0.991 0.981 0.741
```

Most intense lines, 10° ≤ 2θ ≤ 90°, by intensity:
29.18 deg, rel. 100.0
41.74 deg, rel. 65.7
27.26 deg, rel. 36.7
34.36 deg, rel. 23.0
51.74 deg, rel. 20.4
55.13 deg, rel. 20.0

Diffraction record for TbAl7Au3. The X-ray diffraction stick pattern is theoretical, not measured: it uses a GGA-PBE-relaxed structure and Cu Kα (weighted mean of Kα1 and Kα2).

Structure:
```
TbAl7Au3
1.0
4.052 2.340 7.046
-4.052 2.340 7.046
0.000 -4.679 7.046
Tb Al Au
2 14 6
direct
0.000 0.000 0.000
0.500 0.500 0.500
0.070 0.853 0.667
0.147 0.333 0.930
0.167 0.353 0.570
0.250 0.250 0.250
0.333 0.930 0.147
0.353 0.570 0.167
0.430 0.833 0.647
0.570 0.167 0.353
0.647 0.430 0.833
0.667 0.070 0.853
0.750 0.750 0.750
0.833 0.647 0.430
0.853 0.667 0.070
0.930 0.147 0.333
0.073 0.750 0.427
0.250 0.573 0.927
0.427 0.073 0.750
0.573 0.927 0.250
0.750 0.427 0.073
0.927 0.250 0.573
```

Most intense lines, 10° ≤ 2θ ≤ 90°, by intensity:
25.35 deg, rel. 100.0
46.63 deg, rel. 43.6
38.48 deg, rel. 37.7
33.71 deg, rel. 34.8
44.59 deg, rel. 31.1
66.44 deg, rel. 17.7